Theoretical powder diffraction line list
Compound: Ba5Na2SrRh
Radiation: λ = 1.5418 Å (Cu Kα)
Structure: the PBE geometry in Alexandria
Kinematic intensities with the Lorentz-polarization factor, no thermal factor.

Top 12 peaks for 2θ from 10° to 90°, sorted by position:
12.39 deg, d = 7.143 Å, intensity 22; 14.24 deg, d = 6.218 Å, intensity 30; 14.47 deg, d = 6.122 Å, intensity 25; 24.93 deg, d = 3.571 Å, intensity 100; 28.71 deg, d = 3.109 Å, intensity 60; 29.17 deg, d = 3.061 Å, intensity 29; 41.06 deg, d = 2.198 Å, intensity 22; 41.39 deg, d = 2.181 Å, intensity 44; 48.63 deg, d = 1.872 Å, intensity 31; 49.22 deg, d = 1.851 Å, intensity 15; 51.16 deg, d = 1.786 Å, intensity 23; 75.03 deg, d = 1.266 Å, intensity 15

Cell lengths 8.726, 8.726, 8.726 Å; angles 119.49, 119.49, 90.89 degrees
Sites, in units of the cell vectors:
Ba: 0.000 0.000 0.000
Ba: 0.509 0.509 0.513
Ba: 0.509 0.997 0.000
Ba: 0.997 0.509 0.000
Ba: 0.997 0.997 0.487
Na: 0.004 0.504 0.500
Na: 0.504 0.004 0.500
Sr: 0.511 0.511 0.000
Rh: 0.755 0.755 0.000